1.
Er2Sc2Sb2C: simulated XRD peak list (Cu Kα X-rays), based on a crystal structure in Alexandria, relaxed with GGA-PBE.
Intensities are scaled so that the largest is 1000.

Top 10 peaks for 15 to 90 degrees two-theta, sorted by position:
| d/Å | Rel. int. | index |
| --- | --- | --- |
| 3.896 | 351 | 0 0 4 |
| 3.173 | 893 | 1 1 0 |
| 2.939 | 409 | 1 1 2 |
| 2.597 | 317 | 0 0 6 |
| 2.460 | 1000 | 1 1 4 |
| 2.244 | 635 | 2 0 0 |
| 2.010 | 273 | 1 1 6 |
| 1.945 | 244 | 2 0 4 |
| 1.698 | 344 | 2 0 6 |
| 1.333 | 282 | 3 1 4 |

Crystal structure
a = 4.4875 Å, b = 4.4875 Å, c = 15.5828 Å
α = 90.00°, β = 90.00°, γ = 90.00°
Space group I4/mmm (No. 139)
Symmetry-distinct sites (fractional):
1 Er 0.0000 0.0000 0.1592 (multiplicity 4)
2 Sc 0.0000 0.5000 0.0000 (multiplicity 4)
3 Sb 0.0000 0.0000 0.3605 (multiplicity 4)
4 C 0.0000 0.0000 0.0000 (multiplicity 2)

2.
Ac2TlSb3Rh6: simulated XRD peak list (Cu Kα X-rays), based on a crystal structure in Alexandria, relaxed with GGA-PBE.
Intensities are scaled so that the largest is 1000.

Top 10 peaks for 15 to 90 degrees two-theta, sorted by position:
| d/Å | Rel. int. | index |
| --- | --- | --- |
| 3.356 | 1000 | 1 0 3 |
| 2.983 | 395 | 1 1 0 |
| 2.936 | 299 | 1 1 1 |
| 2.770 | 161 | 0 0 6 |
| 2.627 | 425 | 1 1 3 |
| 2.110 | 642 | 2 0 0 |
| 2.030 | 745 | 1 1 6 |
| 1.786 | 342 | 2 1 3 |
| 1.492 | 212 | 2 2 0 |
| 1.202 | 273 | 3 1 6 |

Crystal structure
a = 4.2190 Å, b = 4.2190 Å, c = 16.6178 Å
α = 90.00°, β = 90.00°, γ = 90.00°
Space group P4/mmm (No. 123)
Symmetry-distinct sites (fractional):
1 Ac 0.0000 0.0000 0.1742 (multiplicity 2)
2 Tl 0.0000 0.0000 0.5000 (multiplicity 1)
3 Sb 0.5000 0.5000 0.0000 (multiplicity 1)
4 Sb 0.5000 0.5000 0.3069 (multiplicity 2)
5 Rh 0.0000 0.5000 0.3931 (multiplicity 4)
6 Rh 0.5000 0.5000 0.1518 (multiplicity 2)

3.
Ca3AcLa3: simulated XRD peak list (Cu Kα X-rays), based on a crystal structure in Alexandria, relaxed with GGA-PBE.
Intensities are scaled so that the largest is 1000.

Top 10 peaks for 15 to 90 degrees two-theta, sorted by position:
| d/Å | Rel. int. | index |
| --- | --- | --- |
| 5.141 | 89 | 1 1 0 |
| 3.366 | 218 | 1 2 0 |
| 3.069 | 229 | 0 0 2 |
| 2.951 | 1000 | 1 2 1 |
| 2.268 | 147 | 1 2 2 |
| 1.943 | 183 | 4 1 0 |
| 1.748 | 214 | 1 2 3 |
| 1.642 | 213 | 4 1 2 |
| 1.623 | 148 | 2 4 1 |
| 1.246 | 122 | 7 0 1 |

Crystal structure
a = 10.2828 Å, b = 10.2828 Å, c = 6.1371 Å
α = 90.00°, β = 90.00°, γ = 120.00°
Space group P6_3/m (No. 176)
Symmetry-distinct sites (fractional):
1 Ca 0.0506 0.8067 0.2500 (multiplicity 6)
2 Ac 0.3333 0.6667 0.2500 (multiplicity 2)
3 La 0.1040 0.6167 0.7500 (multiplicity 6)

4.
Ge: simulated XRD peak list (Cu Kα X-rays), based on a crystal structure in Alexandria, relaxed with GGA-PBE.
Intensities are scaled so that the largest is 1000.

Top 10 peaks for 15 to 90 degrees two-theta, sorted by position:
| d/Å | Rel. int. | index |
| --- | --- | --- |
| 3.511 | 1000 | 1 0 0 |
| 3.341 | 582 | 0 0 2 |
| 3.108 | 646 | 1 0 1 |
| 2.420 | 362 | 1 0 2 |
| 2.027 | 860 | 1 1 0 |
| 1.881 | 874 | 1 0 3 |
| 1.733 | 516 | 1 1 2 |
| 1.379 | 308 | 2 0 3 |
| 1.249 | 218 | 1 0 5 |
| 1.140 | 334 | 2 1 3 |

Crystal structure
a = 4.0546 Å, b = 4.0546 Å, c = 6.6813 Å
α = 90.00°, β = 90.00°, γ = 120.00°
Space group P6_3/mmc (No. 194)
Symmetry-distinct sites (fractional):
1 Ge 0.3333 0.6667 0.0628 (multiplicity 4)

5.
YGe3Os2: simulated XRD peak list (Cu Kα X-rays), based on a crystal structure in Alexandria, relaxed with GGA-PBE.
Intensities are scaled so that the largest is 1000.

Top 10 peaks for 15 to 90 degrees two-theta, sorted by position:
| d/Å | Rel. int. | index |
| --- | --- | --- |
| 2.915 | 158 | 1 1 2 |
| 2.817 | 93 | 0 4 1 |
| 2.399 | 1000 | 1 3 2 |
| 2.131 | 246 | 2 0 0 |
| 2.120 | 223 | 0 0 4 |
| 1.871 | 189 | 1 5 2 |
| 1.557 | 77 | 1 7 1 |
| 1.503 | 149 | 2 0 4 |
| 1.276 | 135 | 3 3 2 |
| 1.271 | 118 | 1 3 6 |

Crystal structure
a = 4.2629 Å, b = 11.9470 Å, c = 8.4800 Å
α = 90.00°, β = 90.00°, γ = 90.00°
Space group Cmcm (No. 63)
Symmetry-distinct sites (fractional):
1 Y 0.0000 0.1855 0.2500 (multiplicity 4)
2 Ge 0.0000 0.1322 0.7500 (multiplicity 4)
3 Ge 0.0000 0.3780 0.5242 (multiplicity 8)
4 Os 0.0000 0.0000 0.0000 (multiplicity 4)
5 Os 0.0000 0.4703 0.2500 (multiplicity 4)

6.
PmDy2Si2Pt7: simulated XRD peak list (Cu Kα X-rays), based on a crystal structure in Alexandria, relaxed with GGA-PBE.
Intensities are scaled so that the largest is 1000.

Top 10 peaks for 15 to 90 degrees two-theta, sorted by position:
| d/Å | Rel. int. | index |
| --- | --- | --- |
| 2.796 | 432 | 0 2 1 |
| 2.736 | 417 | 0 0 5 |
| 2.638 | 515 | 0 2 2 |
| 2.607 | 673 | 2 0 -3 |
| 2.503 | 859 | 2 0 2 |
| 2.481 | 232 | 1 1 4 |
| 2.422 | 1000 | 0 2 3 |
| 2.031 | 855 | 2 2 -1 |
| 2.020 | 266 | 2 2 0 |
| 1.342 | 227 | 0 2 9 |

Crystal structure
a = 5.7805 Å, b = 5.7173 Å, c = 13.8439 Å
α = 90.00°, β = 98.81°, γ = 90.00°
Space group C2/m (No. 12)
Symmetry-distinct sites (fractional):
1 Pm 0.0000 0.0000 0.0000 (multiplicity 2)
2 Dy 0.1178 0.0000 0.3584 (multiplicity 4)
3 Si 0.0979 0.5000 0.2599 (multiplicity 4)
4 Pt 0.0000 0.5000 0.0000 (multiplicity 2)
5 Pt 0.1341 0.5000 0.4292 (multiplicity 4)
6 Pt 0.1869 0.2504 0.8338 (multiplicity 8)

7.
MgAl2: simulated XRD peak list (Cu Kα X-rays), based on a crystal structure in Alexandria, relaxed with GGA-PBE.
Intensities are scaled so that the largest is 1000.

Top 5 peaks for 15 to 90 degrees two-theta, sorted by position:
| d/Å | Rel. int. | index |
| --- | --- | --- |
| 2.417 | 1000 | 1 1 6 |
| 2.094 | 483 | 2 0 0 |
| 1.480 | 309 | 2 2 0 |
| 1.262 | 356 | 3 1 6 |
| 1.209 | 102 | 2 2 12 |

Crystal structure
a = 4.1862 Å, b = 4.1862 Å, c = 25.1351 Å
α = 90.00°, β = 90.00°, γ = 90.00°
Space group I4_1/amd (No. 141, origin choice 2)
Symmetry-distinct sites (fractional):
1 Mg 0.0000 0.2500 0.2931 (multiplicity 8)
2 Al 0.0000 0.2500 0.1253 (multiplicity 8)
3 Al 0.0000 0.2500 0.7932 (multiplicity 8)

8.
CsSnBiSe4: simulated XRD peak list (Cu Kα X-rays), based on a crystal structure in Alexandria, relaxed with GGA-PBE.
Intensities are scaled so that the largest is 1000.

Top 10 peaks for 15 to 90 degrees two-theta, sorted by position:
| d/Å | Rel. int. | index |
| --- | --- | --- |
| 5.014 | 382 | 1 1 0 |
| 3.730 | 693 | 0 2 0 |
| 3.308 | 427 | 2 0 -2 |
| 3.267 | 335 | 1 2 0 |
| 3.106 | 1000 | 1 1 2 |
| 3.023 | 795 | 2 1 -2 |
| 2.937 | 426 | 0 2 2 |
| 2.507 | 476 | 2 2 0 |
| 2.011 | 478 | 1 3 2 |
| 1.864 | 356 | 0 4 0 |

Crystal structure
a = 7.1493 Å, b = 7.4594 Å, c = 10.0664 Å
α = 90.00°, β = 108.72°, γ = 90.00°
Space group P2_1/m (No. 11)
Symmetry-distinct sites (fractional):
1 Cs 0.2407 0.2500 0.4439 (multiplicity 2)
2 Sn 0.2644 0.7500 0.1613 (multiplicity 2)
3 Bi 0.2852 0.2500 0.9654 (multiplicity 2)
4 Se 0.0252 0.7500 0.9136 (multiplicity 2)
5 Se 0.0518 0.7500 0.3180 (multiplicity 2)
6 Se 0.4878 0.5112 0.8008 (multiplicity 4)

9.
La2YCd3: simulated XRD peak list (Cu Kα X-rays), based on a crystal structure in Alexandria, relaxed with GGA-PBE.
Intensities are scaled so that the largest is 1000.

Top 10 peaks for 15 to 90 degrees two-theta, sorted by position:
| d/Å | Rel. int. | index |
| --- | --- | --- |
| 2.756 | 1000 | 1 0 3 |
| 2.704 | 495 | 1 1 0 |
| 1.987 | 84 | 0 0 6 |
| 1.912 | 176 | 2 0 0 |
| 1.601 | 166 | 1 1 6 |
| 1.571 | 352 | 2 1 3 |
| 1.378 | 99 | 2 0 6 |
| 1.252 | 58 | 1 0 9 |
| 1.214 | 74 | 3 0 3 |
| 1.209 | 76 | 3 1 0 |

Crystal structure
a = 3.8240 Å, b = 3.8240 Å, c = 11.9234 Å
α = 90.00°, β = 90.00°, γ = 90.00°
Space group P4/mmm (No. 123)
Symmetry-distinct sites (fractional):
1 La 0.0000 0.0000 0.1732 (multiplicity 2)
2 Y 0.0000 0.0000 0.5000 (multiplicity 1)
3 Cd 0.5000 0.5000 0.0000 (multiplicity 1)
4 Cd 0.5000 0.5000 0.3510 (multiplicity 2)

10.
Fe3PdI12: simulated XRD peak list (Cu Kα X-rays), based on a crystal structure in Alexandria, relaxed with GGA-PBE.
Intensities are scaled so that the largest is 1000.

Top 10 peaks for 15 to 90 degrees two-theta, sorted by position:
| d/Å | Rel. int. | index |
| --- | --- | --- |
| 5.447 | 282 | 1 1 1 |
| 5.046 | 422 | 2 0 1 |
| 3.706 | 305 | 3 1 0 |
| 3.443 | 208 | 1 1 2 |
| 3.340 | 1000 | 4 0 0 |
| 3.060 | 543 | 2 1 2 |
| 2.724 | 342 | 2 2 2 |
| 2.112 | 390 | 2 4 2 |
| 1.929 | 225 | 4 4 0 |
| 1.670 | 210 | 8 0 0 |

Crystal structure
a = 15.4358 Å, b = 15.4358 Å, c = 7.6890 Å
α = 90.00°, β = 90.00°, γ = 120.00°
Space group P6_3/m (No. 176)
Symmetry-distinct sites (fractional):
1 Fe 0.1367 0.4401 0.2500 (multiplicity 6)
2 Pd 0.3333 0.6667 0.7500 (multiplicity 2)
3 I 0.0137 0.5015 0.2500 (multiplicity 6)
4 I 0.0592 0.2550 0.2500 (multiplicity 6)
5 I 0.2475 0.7507 0.5182 (multiplicity 12)

11.
CaZn2Ga4Au: simulated XRD peak list (Cu Kα X-rays), based on a crystal structure in Alexandria, relaxed with GGA-PBE.
Intensities are scaled so that the largest is 1000.

Top 10 peaks for 15 to 90 degrees two-theta, sorted by position:
| d/Å | Rel. int. | index |
| --- | --- | --- |
| 3.813 | 316 | 1 0 1 |
| 3.707 | 161 | 0 1 2 |
| 3.052 | 169 | 0 0 9 |
| 2.562 | 908 | 0 1 8 |
| 2.236 | 161 | 1 0 10 |
| 2.223 | 1000 | 1 1 0 |
| 1.797 | 223 | 1 1 9 |
| 1.679 | 247 | 2 0 8 |
| 1.340 | 229 | 1 2 8 |
| 1.283 | 163 | 3 0 0 |

Crystal structure
a = 4.4455 Å, b = 4.4455 Å, c = 27.4670 Å
α = 90.00°, β = 90.00°, γ = 120.00°
Space group R-3m (No. 166, hexagonal axes)
Symmetry-distinct sites (fractional):
1 Ca 0.0000 0.0000 0.0000 (multiplicity 3)
2 Zn 0.0000 0.0000 0.2660 (multiplicity 6)
3 Ga 0.0000 0.0000 0.1296 (multiplicity 6)
4 Ga 0.0000 0.0000 0.4004 (multiplicity 6)
5 Au 0.0000 0.0000 0.5000 (multiplicity 3)

12.
Dy6Er8Tl: simulated XRD peak list (Cu Kα X-rays), based on a crystal structure in Alexandria, relaxed with GGA-PBE.
Intensities are scaled so that the largest is 1000.

Top 10 peaks for 15 to 90 degrees two-theta, sorted by position:
| d/Å | Rel. int. | index |
| --- | --- | --- |
| 3.404 | 349 | 0 2 1 |
| 3.076 | 153 | 0 1 2 |
| 2.729 | 621 | 2 1 1 |
| 2.695 | 1000 | 2 -1 2 |
| 2.637 | 776 | 3 0 0 |
| 1.885 | 152 | 2 2 2 |
| 1.752 | 212 | 5 -2 1 |
| 1.701 | 140 | 0 4 2 |
| 1.671 | 157 | 0 0 4 |
| 1.568 | 127 | 1 1 4 |

Crystal structure
a = 9.1364 Å, b = 9.1364 Å, c = 6.6764 Å
α = 90.00°, β = 90.00°, γ = 120.00°
Space group P-3 (No. 147)
Symmetry-distinct sites (fractional):
1 Dy 0.0810 0.6831 0.1009 (multiplicity 6)
2 Er 0.0191 0.3344 0.3932 (multiplicity 6)
3 Er 0.3333 0.6667 0.6870 (multiplicity 2)
4 Tl 0.0000 0.0000 0.0000 (multiplicity 1)